(1)
Structure and theoretical powder diffraction line list of TaAlFe4 (a crystal structure in the Materials Project, relaxed with GGA-PBE; λ = 1.5418 Å (Cu Kα)).
Neutral-atom scattering factors, no anomalous dispersion.

Crystal structure
```
TaAlFe4
1.0
4.780 0.000 0.000
-2.390 4.140 0.000
0.000 0.000 7.691
Ta Al Fe
2 2 8
Cartesian
0.000 2.760 0.589 Ta
2.390 1.380 7.102 Ta
0.000 2.760 3.417 Al
2.390 1.380 4.274 Al
0.000 0.000 0.000 Fe
0.000 0.000 3.845 Fe
0.000 1.403 5.756 Fe
-1.175 3.438 5.756 Fe
1.215 0.702 1.935 Fe
1.175 3.438 5.756 Fe
3.565 0.702 1.935 Fe
2.390 2.737 1.935 Fe
```

The 8 most intense peaks (10 to 80 degrees two-theta), most intense first:
index	2theta	I_rel
0 0 1	11.51	100.0
1 0 3	41.43	86.0
1 1 2	44.64	77.2
0 2 1	45.38	74.0
1 0 2	31.76	46.4
1 1 0	37.64	46.4
1 1 1	39.48	34.3
1 0 1	24.42	33.5

---

(2)
Structure and theoretical powder diffraction line list of Ti3FeS6 (a crystal structure in the Materials Project, relaxed with GGA-PBE; λ = 1.5418 Å (Cu Kα)).
Neutral-atom scattering factors, no anomalous dispersion.

Crystal structure
```
Ti3FeS6
1.0
5.936 0.000 0.000
-2.968 5.140 0.000
0.000 0.000 11.594
Ti Fe S
6 2 12
Cartesian
0.000 3.427 0.010 Ti
0.000 3.427 5.787 Ti
0.000 3.427 8.696 Ti
2.968 1.713 2.899 Ti
2.968 1.713 5.807 Ti
2.968 1.713 11.584 Ti
0.000 0.000 0.000 Fe
0.000 0.000 5.797 Fe
-0.978 1.716 7.240 S
-1.971 3.435 10.151 S
0.978 1.716 10.151 S
-0.992 5.129 7.240 S
1.976 0.011 1.443 S
0.997 1.705 4.354 S
1.971 3.435 7.240 S
0.992 5.129 10.151 S
3.960 0.011 4.354 S
1.989 3.424 1.443 S
4.938 1.705 1.443 S
3.946 3.424 4.354 S
```

The 8 most intense peaks (10 to 80 degrees two-theta), most intense first:
index	2theta	I_rel
2 -1 4	43.65	100.0
2 -1 2	33.93	97.2
3 0 0	53.48	45.5
0 0 2	15.28	35.4
2 2 4	71.41	20.4
1 0 1	18.88	19.5
1 1 6	56.86	19.1
1 1 0	30.11	17.1

---

(3)
Structure and theoretical powder diffraction line list of La2Bi7O14 (a crystal structure in the Materials Project, relaxed with GGA-PBE; λ = 1.5418 Å (Cu Kα)).
Neutral-atom scattering factors, no anomalous dispersion.

Crystal structure
```
La2Bi7O14
1.0
6.940 0.000 0.000
-3.383 6.069 0.000
-1.060 -2.073 10.412
La Bi O
2 7 14
Cartesian
0.000 0.000 0.000 La
-0.978 1.963 10.201 La
-0.980 1.907 3.096 Bi
0.285 -0.024 7.144 Bi
2.194 -0.006 3.030 Bi
0.068 4.113 7.117 Bi
2.454 -0.078 10.128 Bi
2.469 4.195 3.090 Bi
3.563 1.841 7.148 Bi
-1.075 2.196 0.951 O
0.008 -0.023 2.345 O
-1.810 4.039 3.391 O
-2.030 3.628 7.163 O
0.083 -0.134 9.336 O
2.470 -0.071 0.898 O
1.212 2.188 3.342 O
0.865 2.054 7.183 O
2.454 -0.031 7.941 O
0.278 3.998 9.331 O
2.229 3.976 0.954 O
4.382 -0.255 3.394 O
5.041 0.283 7.128 O
3.608 2.068 9.336 O
```

The 8 most intense peaks (10 to 80 degrees two-theta), most intense first:
index	2theta	I_rel
0 0 3	25.67	100.0
1 1 -2	27.84	82.7
2 -1 1	28.02	81.3
-1 2 1	28.22	76.7
0 3 -1	44.83	61.8
0 0 2	17.03	34.7
-2 1 2	29.60	32.0
1 1 1	29.11	31.9